The following is a simulated powder diffraction line list of CaCdO2. It was derived from the PBE geometry in the Materials Project, using copper Kα.
Kinematic intensities with the Lorentz-polarization factor, no thermal factor.

The 10 most intense peaks (10 to 90 degrees two-theta), by angle:
two_theta  I_rel  hkl
18.47  28  0 0 1
26.21  25  1 0 0
32.26  85  1 0 1
37.42  100  1 1 0
42.03  14  1 1 1
46.28  11  1 0 2
53.95  63  2 0 0
64.27  35  2 1 1
67.50  20  2 0 2
88.71  15  3 0 1

Atomic structure:
```
data_CaCdO2
_chemical_formula_sum 'Ca1 Cd1 O2'
_space_group_name_H-M_alt 'P 4/m m m'
_space_group_IT_number 123
_space_group_name_Hall '-P 4 2'
_cell_length_a 3.400
_cell_length_b 3.400
_cell_length_c 4.803
_cell_angle_alpha 90.00
_cell_angle_beta 90.00
_cell_angle_gamma 90.00
loop_
_atom_site_label
_atom_site_type_symbol
_atom_site_fract_x
_atom_site_fract_y
_atom_site_fract_z
Ca1 Ca 0.000 0.000 0.000
Cd1 Cd 0.500 0.500 0.500
O1 O 0.000 0.000 0.500
O2 O 0.500 0.500 0.000
```

=====

The following is a simulated powder diffraction line list of Ca3CdO4. It was derived from the PBE geometry in the Materials Project, using copper Kα.
Kinematic intensities with the Lorentz-polarization factor, no thermal factor.

The 10 most intense peaks (10 to 90 degrees two-theta), by angle:
two_theta  I_rel  hkl
15.97  27  1 1 0
18.41  11  0 2 0
30.69  13  1 1 1
32.08  33  0 2 1
32.25  32  2 2 0
37.31  100  2 0 1
53.55  10  0 0 2
53.79  41  2 4 1
54.01  10  4 0 0
64.19  14  4 2 1

Atomic structure:
```
data_Ca3CdO4
_chemical_formula_sum 'Ca6 Cd2 O8'
_space_group_name_H-M_alt 'C m m m'
_space_group_IT_number 65
_space_group_name_Hall '-C 2 2'
_cell_length_a 6.791
_cell_length_b 9.638
_cell_length_c 3.423
_cell_angle_alpha 90.00
_cell_angle_beta 90.00
_cell_angle_gamma 90.00
loop_
_atom_site_label
_atom_site_type_symbol
_atom_site_fract_x
_atom_site_fract_y
_atom_site_fract_z
Ca1 Ca 0.000 0.000 0.000
Ca2 Ca 0.250 0.250 0.500
Cd1 Cd 0.000 0.500 0.000
O1 O 0.000 0.247 0.000
O2 O 0.246 0.000 0.500
```

=====

The following is a simulated powder diffraction line list of Ca3CdO4. It was derived from the PBE geometry in the Materials Project, using copper Kα.
Kinematic intensities with the Lorentz-polarization factor, no thermal factor.

The 10 most intense peaks (10 to 90 degrees two-theta), by angle:
two_theta  I_rel  hkl
18.47  16  0 0 2
27.77  28  1 0 1
32.19  97  1 0 2
37.28  100  1 1 0
37.44  49  0 0 4
38.52  23  1 0 3
53.75  31  2 0 0
53.87  61  1 1 4
64.05  27  2 1 2
67.34  29  2 0 4

Atomic structure:
```
data_Ca3CdO4
_chemical_formula_sum 'Ca3 Cd1 O4'
_space_group_name_H-M_alt 'P 4/m m m'
_space_group_IT_number 123
_space_group_name_Hall '-P 4 2'
_cell_length_a 3.411
_cell_length_b 3.411
_cell_length_c 9.609
_cell_angle_alpha 90.00
_cell_angle_beta 90.00
_cell_angle_gamma 90.00
loop_
_atom_site_label
_atom_site_type_symbol
_atom_site_fract_x
_atom_site_fract_y
_atom_site_fract_z
Ca1 Ca 0.000 0.000 0.000
Ca2 Ca 0.500 0.500 0.253
Cd1 Cd 0.000 0.000 0.500
O1 O 0.000 0.000 0.248
O2 O 0.500 0.500 0.000
O3 O 0.500 0.500 0.500
```

=====

The following is a simulated powder diffraction line list of CaCd4Tc4O12. It was derived from the PBE geometry in the Materials Project, using copper Kα.
Kinematic intensities with the Lorentz-polarization factor, no thermal factor.

The 10 most intense peaks (10 to 90 degrees two-theta), by angle:
two_theta  I_rel  hkl
27.00  25  1 1 -1
30.82  100  1 -1 2
33.21  39  0 2 1
33.47  61  1 1 -2
33.56  33  1 1 3
38.05  24  1 -1 3
48.44  25  2 -2 0
49.96  16  0 0 5
56.47  18  0 2 -4
56.65  19  0 2 5

Atomic structure:
```
data_CaCd4Tc4O12
_chemical_formula_sum 'Ca1 Cd4 Tc4 O12'
_space_group_name_H-M_alt 'P 1'
_space_group_IT_number 1
_cell_length_a 5.415
_cell_length_b 5.460
_cell_length_c 9.331
_cell_angle_alpha 81.39
_cell_angle_beta 81.38
_cell_angle_gamma 87.45
loop_
_space_group_symop_operation_xyz
'x,y,z'
loop_
_atom_site_label
_atom_site_type_symbol
_atom_site_fract_x
_atom_site_fract_y
_atom_site_fract_z
Ca1 Ca 0.000 0.000 0.000
Cd1 Cd 0.098 0.062 0.592
Cd2 Cd 0.304 0.293 0.158
Cd3 Cd 0.549 0.598 0.600
Cd4 Cd 0.620 0.647 0.169
Tc1 Tc 0.110 0.631 0.382
Tc2 Tc 0.526 0.042 0.812
Tc3 Tc 0.645 0.136 0.381
Tc4 Tc 0.997 0.524 0.816
O1 O 0.240 0.259 0.786
O2 O 0.284 0.773 0.774
O3 O 0.361 0.890 0.397
O4 O 0.364 0.371 0.466
O5 O 0.407 0.978 0.036
O6 O 0.681 0.040 0.596
O7 O 0.739 0.296 0.829
O8 O 0.770 0.790 0.865
O9 O 0.885 0.898 0.261
O10 O 0.891 0.377 0.365
O11 O 0.962 0.628 0.594
O12 O 0.998 0.460 0.034
```

=====

The following is a simulated powder diffraction line list of CaCd4Tc4O12. It was derived from the PBE geometry in the Materials Project, using copper Kα.
Kinematic intensities with the Lorentz-polarization factor, no thermal factor.

The 10 most intense peaks (10 to 90 degrees two-theta), by angle:
two_theta  I_rel  hkl
29.79  53  -1 1 2
31.33  65  1 -1 2
32.19  100  1 1 -2
32.45  30  0 2 1
32.84  39  2 0 0
34.96  39  1 1 3
37.06  36  -1 1 3
45.74  24  2 2 1
47.31  29  2 -2 0
54.36  23  2 0 -4

Atomic structure:
```
data_CaCd4Tc4O12
_chemical_formula_sum 'Ca1 Cd4 Tc4 O12'
_space_group_name_H-M_alt 'P 1'
_space_group_IT_number 1
_cell_length_a 5.467
_cell_length_b 5.607
_cell_length_c 9.113
_cell_angle_alpha 82.23
_cell_angle_beta 86.31
_cell_angle_gamma 88.06
loop_
_space_group_symop_operation_xyz
'x,y,z'
loop_
_atom_site_label
_atom_site_type_symbol
_atom_site_fract_x
_atom_site_fract_y
_atom_site_fract_z
Ca1 Ca 0.000 0.000 0.000
Cd1 Cd 0.461 0.277 0.840
Cd2 Cd 0.515 0.344 0.388
Cd3 Cd 0.841 0.697 0.784
Cd4 Cd 0.977 0.839 0.388
Tc1 Tc 0.022 0.399 0.191
Tc2 Tc 0.443 0.784 0.603
Tc3 Tc 0.501 0.876 0.162
Tc4 Tc 0.975 0.267 0.609
O1 O 0.117 0.243 0.394
O2 O 0.167 0.956 0.702
O3 O 0.219 0.677 0.131
O4 O 0.255 0.475 0.645
O5 O 0.297 0.185 0.106
O6 O 0.387 0.777 0.390
O7 O 0.600 0.911 0.948
O8 O 0.679 0.062 0.580
O9 O 0.732 0.600 0.195
O10 O 0.765 0.558 0.534
O11 O 0.781 0.091 0.216
O12 O 0.874 0.300 0.820
```

=====

The following is a simulated powder diffraction line list of Ca2CdP2. It was derived from the PBE geometry in the Materials Project, using copper Kα.
Kinematic intensities with the Lorentz-polarization factor, no thermal factor.

The 10 most intense peaks (10 to 90 degrees two-theta), by angle:
two_theta  I_rel  hkl
10.97  27  0 2 0
16.65  100  0 2 1
25.17  48  0 0 2
29.75  79  1 3 1
33.51  63  1 1 2
33.67  28  0 4 2
35.04  84  1 5 0
37.13  32  1 3 2
39.76  32  0 2 3
42.94  34  2 0 0

Atomic structure:
```
data_Ca2CdP2
_chemical_formula_sum 'Ca8 Cd4 P8'
_space_group_name_H-M_alt 'C m c 21'
_space_group_IT_number 36
_cell_length_a 4.213
_cell_length_b 16.126
_cell_length_c 7.088
_cell_angle_alpha 90.00
_cell_angle_beta 90.00
_cell_angle_gamma 90.00
loop_
_space_group_symop_operation_xyz
'x,y,z'
'-x,-y,z+1/2'
'-x,y,z'
'x,-y,z+1/2'
'x+1/2,y+1/2,z'
'-x+1/2,-y+1/2,z+1/2'
'-x+1/2,y+1/2,z'
'x+1/2,-y+1/2,z+1/2'
loop_
_atom_site_label
_atom_site_type_symbol
_atom_site_fract_x
_atom_site_fract_y
_atom_site_fract_z
Ca1 Ca 0.000 0.035 0.000
Ca2 Ca 0.000 0.201 0.656
Cd1 Cd 0.000 0.401 0.838
P1 P 0.000 0.181 0.235
P2 P 0.000 0.437 0.210
```

=====

The following is a simulated powder diffraction line list of CaCd2P2. It was derived from the PBE geometry in the Materials Project, using copper Kα.
Kinematic intensities with the Lorentz-polarization factor, no thermal factor.

The 10 most intense peaks (10 to 90 degrees two-theta), by angle:
two_theta  I_rel  hkl
12.52  37  0 0 1
23.78  29  1 0 0
26.96  90  0 1 1
34.91  100  1 0 2
41.81  66  1 1 0
45.47  24  1 0 3
50.45  16  2 0 1
55.57  25  0 2 2
57.89  23  1 1 3
71.89  22  2 1 2

Atomic structure:
```
data_CaCd2P2
_chemical_formula_sum 'Ca1 Cd2 P2'
_space_group_name_H-M_alt 'P -3 m 1'
_space_group_IT_number 164
_space_group_name_Hall '-P 3 2"'
_cell_length_a 4.3212
_cell_length_b 4.3212
_cell_length_c 7.0723
_cell_angle_alpha 90.00
_cell_angle_beta 90.00
_cell_angle_gamma 120.00
loop_
_atom_site_label
_atom_site_type_symbol
_atom_site_fract_x
_atom_site_fract_y
_atom_site_fract_z
Ca1 Ca 0.0000 0.0000 0.0000
Cd1 Cd 0.3333 0.6667 0.3613
P1 P 0.3333 0.6667 0.7609
```

=====

The following is a simulated powder diffraction line list of CaCdPd2. It was derived from the PBE geometry in the Materials Project, using copper Kα.
Kinematic intensities with the Lorentz-polarization factor, no thermal factor.

The 10 most intense peaks (10 to 90 degrees two-theta), by angle:
two_theta  I_rel  hkl
22.68  9  1 1 1
26.25  3  2 0 0
37.46  100  2 2 0
44.24  5  3 1 1
54.02  17  4 0 0
59.32  2  3 3 1
67.59  33  4 2 2
72.30  1  5 1 1
79.92  10  4 4 0
84.39  2  5 3 1

Atomic structure:
```
data_CaCdPd2
_chemical_formula_sum 'Ca4 Cd4 Pd8'
_space_group_name_H-M_alt 'F m -3 m'
_space_group_IT_number 225
_space_group_name_Hall '-F 4 2 3'
_cell_length_a 6.790
_cell_length_b 6.790
_cell_length_c 6.790
_cell_angle_alpha 90.00
_cell_angle_beta 90.00
_cell_angle_gamma 90.00
loop_
_atom_site_label
_atom_site_type_symbol
_atom_site_fract_x
_atom_site_fract_y
_atom_site_fract_z
Ca1 Ca 0.000 0.000 0.000
Cd1 Cd 0.000 0.000 0.500
Pd1 Pd 0.250 0.250 0.250
```

=====

The following is a simulated powder diffraction line list of CaCdPd. It was derived from the PBE geometry in the Materials Project, using copper Kα.
Kinematic intensities with the Lorentz-polarization factor, no thermal factor.

The 10 most intense peaks (10 to 90 degrees two-theta), by angle:
two_theta  I_rel  hkl
16.07  50  1 0 1
22.38  62  0 1 1
31.43  58  1 1 2
31.90  52  2 1 0
33.61  100  2 1 1
37.29  83  0 1 3
39.41  70  1 1 3
40.26  88  0 2 0
43.21  39  3 0 2
44.09  45  3 1 1

Atomic structure:
```
data_CaCdPd
_chemical_formula_sum 'Ca4 Cd4 Pd4'
_space_group_name_H-M_alt 'P n m a'
_space_group_IT_number 62
_cell_length_a 7.196
_cell_length_b 4.480
_cell_length_c 8.583
_cell_angle_alpha 90.00
_cell_angle_beta 90.00
_cell_angle_gamma 90.00
loop_
_space_group_symop_operation_xyz
'x,y,z'
'-x,-y,-z'
'-x+1/2,-y,z+1/2'
'x+1/2,y,-z+1/2'
'x+1/2,-y+1/2,-z+1/2'
'-x+1/2,y+1/2,z+1/2'
'-x,y+1/2,-z'
'x,-y+1/2,z'
loop_
_atom_site_label
_atom_site_type_symbol
_atom_site_fract_x
_atom_site_fract_y
_atom_site_fract_z
Ca1 Ca 0.036 0.250 0.179
Cd1 Cd 0.146 0.250 0.560
Pd1 Pd 0.241 0.750 0.371
```

=====

The following is a simulated powder diffraction line list of CaPmCd2. It was derived from the PBE geometry in the Materials Project, using copper Kα.
Kinematic intensities with the Lorentz-polarization factor, no thermal factor.

The 10 most intense peaks (10 to 90 degrees two-theta), by angle:
two_theta  I_rel  hkl
20.06  14  1 1 1
33.05  100  2 2 0
38.97  8  3 1 1
47.44  18  4 0 0
52.00  4  3 3 1
59.03  36  4 2 2
63.01  3  5 1 1
69.34  11  4 4 0
78.99  15  6 2 0
88.33  4  4 4 4

Atomic structure:
```
data_CaPmCd2
_chemical_formula_sum 'Ca4 Pm4 Cd8'
_space_group_name_H-M_alt 'F m -3 m'
_space_group_IT_number 225
_space_group_name_Hall '-F 4 2 3'
_cell_length_a 7.666
_cell_length_b 7.666
_cell_length_c 7.666
_cell_angle_alpha 90.00
_cell_angle_beta 90.00
_cell_angle_gamma 90.00
loop_
_atom_site_label
_atom_site_type_symbol
_atom_site_fract_x
_atom_site_fract_y
_atom_site_fract_z
Ca1 Ca 0.000 0.000 0.000
Pm1 Pm 0.000 0.000 0.500
Cd1 Cd 0.250 0.250 0.250
```

=====

The following is a simulated powder diffraction line list of Ca3Cd8Pt4. It was derived from the PBE geometry in the Materials Project, using copper Kα.
Kinematic intensities with the Lorentz-polarization factor, no thermal factor.

The 10 most intense peaks (10 to 90 degrees two-theta), by angle:
two_theta  I_rel  hkl
22.42  41  2 2 2
33.91  20  3 3 3
37.02  100  4 4 0
38.78  11  5 3 1
43.71  38  6 2 2
53.35  10  8 0 0
66.71  24  8 4 4
71.35  13  6 6 6
78.83  9  8 8 0
83.21  15  10 6 2

Atomic structure:
```
data_Ca3Cd8Pt4
_chemical_formula_sum 'Ca24 Cd64 Pt32'
_space_group_name_H-M_alt 'F m -3 m'
_space_group_IT_number 225
_space_group_name_Hall '-F 4 2 3'
_cell_length_a 13.737
_cell_length_b 13.737
_cell_length_c 13.737
_cell_angle_alpha 90.00
_cell_angle_beta 90.00
_cell_angle_gamma 90.00
loop_
_atom_site_label
_atom_site_type_symbol
_atom_site_fract_x
_atom_site_fract_y
_atom_site_fract_z
Ca1 Ca 0.000 0.000 0.211
Cd1 Cd 0.120 0.120 0.380
Cd2 Cd 0.165 0.165 0.165
Pt1 Pt 0.000 0.000 0.000
Pt2 Pt 0.000 0.000 0.500
Pt3 Pt 0.000 0.250 0.250
```

=====

The following is a simulated powder diffraction line list of CaCdS2. It was derived from the PBE geometry in the Materials Project, using copper Kα.
Kinematic intensities with the Lorentz-polarization factor, no thermal factor.

The 10 most intense peaks (10 to 90 degrees two-theta), by angle:
two_theta  I_rel  hkl
13.91  26  0 0 3
26.13  17  1 0 1
27.37  24  0 1 2
31.91  100  1 0 4
45.32  35  1 1 0
46.18  33  0 1 8
56.49  18  0 2 4
75.21  15  2 1 4
76.48  14  1 1 12
84.33  11  1 2 8

Atomic structure:
```
data_CaCdS2
_chemical_formula_sum 'Ca3 Cd3 S6'
_space_group_name_H-M_alt 'R -3 m'
_space_group_IT_number 166
_space_group_name_Hall '-R 3 2"'
_cell_length_a 4.0024
_cell_length_b 4.0024
_cell_length_c 19.0951
_cell_angle_alpha 90.00
_cell_angle_beta 90.00
_cell_angle_gamma 120.00
loop_
_atom_site_label
_atom_site_type_symbol
_atom_site_fract_x
_atom_site_fract_y
_atom_site_fract_z
Ca1 Ca 0.0000 0.0000 0.0000
Cd1 Cd 0.0000 0.0000 0.5000
S1 S 0.0000 0.0000 0.2469
```